For NaNdHfTiO6, DFT lattice parameters and positions (GGA-PBE) gives the calculated X-ray powder pattern in this record (Cu Kα (λ = 1.5418 Å)).
Neutral-atom scattering factors, no anomalous dispersion.

The 10 most intense peaks (10 to 90 degrees two-theta), in order of rising 2θ:
| d_spacing | I/Imax |
| --- | --- |
| 4.610 | 513 |
| 2.823 | 1000 |
| 2.408 | 313 |
| 1.996 | 334 |
| 1.832 | 147 |
| 1.630 | 395 |
| 1.537 | 105 |
| 1.412 | 199 |
| 1.350 | 104 |
| 1.263 | 170 |

Unit cell a=5.6461 b=5.6461 c=5.6461 alpha=60.00 beta=60.00 gamma=60.00
Atoms (fractional coordinates):
Na (0.0000, 0.0000, 0.0000)
Nd (0.5000, 0.5000, 0.5000)
Hf (0.2500, 0.2500, 0.2500)
Ti (0.7500, 0.7500, 0.7500)
O (0.5062, 0.5062, 0.9938)
O (0.5062, 0.9938, 0.5062)
O (0.5062, 0.9938, 0.9938)
O (0.9938, 0.5062, 0.5062)
O (0.9938, 0.5062, 0.9938)
O (0.9938, 0.9938, 0.5062)


For Na2Hf2O5, DFT lattice parameters and positions (GGA-PBE) gives the calculated X-ray powder pattern in this record (Cu Kα (λ = 1.5418 Å)).
Neutral-atom scattering factors, no anomalous dispersion.

The 10 most intense peaks (10 to 90 degrees two-theta), in order of rising 2θ:
| d_spacing | I/Imax |
| --- | --- |
| 4.028 | 487 |
| 3.986 | 826 |
| 2.833 | 1000 |
| 2.818 | 409 |
| 2.309 | 211 |
| 1.993 | 282 |
| 1.798 | 184 |
| 1.786 | 202 |
| 1.639 | 209 |
| 1.630 | 392 |

Unit cell a=3.9857 b=3.9857 c=8.0565 alpha=90.00 beta=90.00 gamma=90.00
Atoms (fractional coordinates):
Na (0.0000, 0.0000, 0.0000)
Na (0.0000, 0.0000, 0.5000)
Hf (0.5000, 0.5000, 0.2475)
Hf (0.5000, 0.5000, 0.7525)
O (0.0000, 0.5000, 0.2992)
O (0.0000, 0.5000, 0.7008)
O (0.5000, 0.0000, 0.2992)
O (0.5000, 0.0000, 0.7008)
O (0.5000, 0.5000, 0.0000)